Entry 1:
# Cs2HgRhCl6
Simulated powder X-ray diffraction pattern, Cu Kα. Input: a PBE-relaxed structure.

Peak list (12 most intense, 10° ≤ 2θ ≤ 90°, sorted by position)
2θ 24.0, d 3.712, intensity 51
2θ 24.1, d 3.685, intensity 100
2θ 34.2, d 2.625, intensity 50
2θ 34.7, d 2.587, intensity 24
2θ 42.3, d 2.138, intensity 45
2θ 42.6, d 2.123, intensity 22
2θ 49.1, d 1.856, intensity 17
2θ 49.5, d 1.843, intensity 33
2θ 55.4, d 1.659, intensity 23
2θ 61.5, d 1.508, intensity 17
2θ 66.7, d 1.402, intensity 13
2θ 67.0, d 1.397, intensity 13

```
Cs2HgRhCl6
1.0
-3.712 3.712 5.175
3.712 -3.712 5.175
3.712 3.712 -5.175
Cs Hg Rh Cl
2 1 1 6
direct
0.250 0.750 0.500
0.750 0.250 0.500
0.000 0.000 0.000
0.500 0.500 0.000
0.266 0.266 0.000
0.270 0.270 0.540
0.270 0.730 0.000
0.730 0.270 0.000
0.730 0.730 0.460
0.734 0.734 0.000
```

***

Entry 2:
# CsHg2S2Cl
Simulated powder X-ray diffraction pattern, Cu Kα. Input: a PBE-relaxed structure.

Peak list (12 most intense, 10° ≤ 2θ ≤ 90°, sorted by position)
2θ 14.2, d 6.236, intensity 63
2θ 16.3, d 5.445, intensity 53
2θ 19.8, d 4.474, intensity 100
2θ 22.8, d 3.893, intensity 90
2θ 25.4, d 3.509, intensity 68
2θ 27.4, d 3.252, intensity 47
2θ 29.7, d 3.004, intensity 75
2θ 30.8, d 2.901, intensity 33
2θ 34.9, d 2.574, intensity 44
2θ 37.1, d 2.426, intensity 68
2θ 38.6, d 2.333, intensity 35
2θ 43.1, d 2.099, intensity 39

```
CsHg2S2Cl
1.0
7.093 0.000 0.000
0.000 6.855 0.000
-1.508 0.000 10.303
Cs Hg S Cl
2 4 4 2
direct
0.183 0.250 0.132
0.817 0.750 0.868
0.230 0.003 0.647
0.230 0.497 0.647
0.770 0.503 0.353
0.770 0.997 0.353
0.204 0.250 0.486
0.298 0.750 0.802
0.702 0.250 0.198
0.796 0.750 0.514
0.013 0.750 0.185
0.987 0.250 0.815
```

***

Entry 3:
# CsHo2Cl7
Simulated powder X-ray diffraction pattern, Cu Kα. Input: a PBE-relaxed structure.

Peak list (12 most intense, 10° ≤ 2θ ≤ 90°, sorted by position)
2θ 12.3, d 7.194, intensity 56
2θ 18.7, d 4.755, intensity 17
2θ 19.0, d 4.662, intensity 100
2θ 24.6, d 3.616, intensity 20
2θ 25.4, d 3.504, intensity 41
2θ 31.0, d 2.887, intensity 15
2θ 31.8, d 2.817, intensity 15
2θ 33.9, d 2.645, intensity 26
2θ 35.2, d 2.550, intensity 20
2θ 35.8, d 2.507, intensity 32
2θ 38.9, d 2.317, intensity 21
2θ 40.0, d 2.252, intensity 20

```
CsHo2Cl7
1.0
14.388 0.000 0.000
0.000 6.992 0.000
0.000 0.000 12.673
Cs Ho Cl
4 8 28
direct
0.031 0.250 0.206
0.469 0.750 0.706
0.531 0.250 0.294
0.969 0.750 0.794
0.243 0.250 0.551
0.247 0.250 0.855
0.253 0.750 0.355
0.257 0.750 0.051
0.743 0.250 0.949
0.747 0.250 0.645
0.753 0.750 0.145
0.757 0.750 0.449
0.118 0.750 0.202
0.135 0.010 0.436
0.135 0.490 0.436
0.137 0.010 0.970
0.137 0.490 0.970
0.181 0.012 0.704
0.181 0.488 0.704
0.319 0.512 0.204
0.319 0.988 0.204
0.363 0.510 0.470
0.363 0.990 0.470
0.365 0.510 0.936
0.365 0.990 0.936
0.382 0.250 0.702
0.618 0.750 0.298
0.635 0.010 0.064
0.635 0.490 0.064
0.637 0.010 0.530
0.637 0.490 0.530
0.681 0.012 0.796
0.681 0.488 0.796
0.819 0.512 0.296
0.819 0.988 0.296
0.863 0.510 0.030
0.863 0.990 0.030
0.865 0.510 0.564
0.865 0.990 0.564
0.882 0.250 0.798
```